No. 1
Calculated XRD peak list
Compound: CdAs2
Radiation: a wavelength of 1.5418 Å
Structure: DFT lattice parameters and positions (PBE)

Atomic structure:
a = 8.157 Å, b = 8.157 Å, c = 4.768 Å
α = 90.00°, β = 90.00°, γ = 90.00°
Space group I4_122 (No. 98)
Inequivalent atoms, fractional coordinates:
Cd (0.000, 0.000, 0.000) [4 per cell]
As (0.062, 0.750, 0.625) [8 per cell]

Top 12 peaks for 10° ≤ 2θ ≤ 80°, low angle first:
2θ 15.36, I 181, (1 1 0); 2θ 21.79, I 195, (2 0 0); 2θ 30.86, I 1000, (2 1 1); 2θ 40.97, I 114, (1 1 2); 2θ 44.00, I 124, (2 0 2); 2θ 44.32, I 212, (3 2 1); 2θ 44.43, I 128, (4 0 0); 2θ 49.98, I 195, (4 2 0); 2θ 52.25, I 195, (3 1 2); 2θ 59.93, I 79, (5 0 1); 2θ 73.36, I 97, (6 1 1); 2θ 79.43, I 81, (5 3 2)

---

No. 2
Calculated XRD peak list
Compound: CdAs3
Radiation: a wavelength of 1.5418 Å
Structure: DFT lattice parameters and positions (PBE)

Atomic structure:
a = 6.1525 Å, b = 6.1525 Å, c = 4.9956 Å
α = 90.00°, β = 90.00°, γ = 120.00°
Space group P6_3/mmc (No. 194)
Inequivalent atoms, fractional coordinates:
Cd (0.3333, 0.6667, 0.2500) [2 per cell]
As (0.1659, 0.3318, 0.7500) [6 per cell]

Top 12 peaks for 10° ≤ 2θ ≤ 80°, low angle first:
2θ 24.43, I 39, (1 0 1); 2θ 29.03, I 16, (1 1 0); 2θ 33.64, I 239, (2 0 0); 2θ 35.95, I 265, (0 0 2); 2θ 38.29, I 1000, (2 0 1); 2θ 50.06, I 152, (2 0 2); 2θ 60.16, I 172, (2 2 0); 2θ 66.18, I 192, (2 0 3); 2θ 70.72, I 26, (4 0 0); 2θ 72.12, I 199, (2 2 2); 2θ 73.59, I 141, (4 0 1); 2θ 76.24, I 28, (0 0 4)

---

No. 3
Calculated XRD peak list
Compound: CeCd3As3
Radiation: a wavelength of 1.5418 Å
Structure: DFT lattice parameters and positions (PBE)

Atomic structure:
a = 4.502 Å, b = 21.678 Å, c = 4.506 Å
α = 90.00°, β = 119.90°, γ = 90.00°
Space group Pm (No. 6)
Inequivalent atoms, fractional coordinates:
Ce (0.000, 0.250, 0.000) [2 per cell]
Cd (0.334, 0.125, 0.665) [2 per cell]
Cd (0.365, 0.500, 0.730) [1 per cell]
Cd (0.636, 0.000, 0.363) [1 per cell]
Cd (0.667, 0.375, 0.332) [2 per cell]
As (0.298, 0.000, 0.697) [1 per cell]
As (0.334, 0.326, 0.666) [2 per cell]
As (0.667, 0.174, 0.333) [2 per cell]
As (0.700, 0.500, 0.400) [1 per cell]

Top 12 peaks for 10° ≤ 2θ ≤ 80°, low angle first:
2θ 22.79, I 199, (1 0 0); 2θ 24.24, I 548, (1 2 0); 2θ 28.18, I 378, (0 4 1); 2θ 30.83, I 587, (0 5 1); 2θ 33.06, I 226, (0 8 0); 2θ 33.81, I 621, (1 6 0); 2θ 40.02, I 1000, (1 0 1); 2θ 44.19, I 165, (1 9 0); 2θ 51.35, I 136, (2 5 0); 2θ 51.98, I 156, (0 11 1); 2θ 52.85, I 322, (2 8 -1); 2θ 53.36, I 157, (2 6 -2)

---

No. 4
Calculated XRD peak list
Compound: Cd2AsCl2
Radiation: a wavelength of 1.5418 Å
Structure: DFT lattice parameters and positions (PBE)

Atomic structure:
a = 8.002 Å, b = 9.373 Å, c = 8.487 Å
α = 90.00°, β = 120.25°, γ = 90.00°
Space group P2_1/c (No. 14)
Inequivalent atoms, fractional coordinates:
Cd (0.045, 0.202, 0.215) [4 per cell]
Cd (0.439, 0.580, 0.248) [4 per cell]
As (0.069, 0.619, 0.059) [4 per cell]
Cl (0.246, 0.521, 0.696) [4 per cell]
Cl (0.421, 0.190, 0.918) [4 per cell]

Top 12 peaks for 10° ≤ 2θ ≤ 80°, low angle first:
2θ 22.52, I 1000, (0 2 1); 2θ 22.94, I 565, (1 2 0); 2θ 24.27, I 506, (0 0 2); 2θ 25.78, I 587, (2 0 0); 2θ 26.74, I 452, (2 1 -2); 2θ 28.38, I 651, (1 2 -2); 2θ 35.74, I 380, (3 1 -1); 2θ 39.02, I 309, (2 2 1); 2θ 40.52, I 268, (1 4 -1); 2θ 43.78, I 408, (2 1 -4); 2θ 44.53, I 304, (1 4 1); 2θ 46.44, I 283, (4 1 -2)